Structure and simulated PXRD pattern of Mg6VCdO8 (a crystal structure in Alexandria, relaxed with GGA+U; Cu Kα (weighted mean of Kα1 and Kα2)).
No peak broadening, texture or thermal motion is included.

```
Mg6VCdO8
1.0
4.3708 0.0000 0.0000
0.0000 4.3708 0.0000
0.0000 0.0000 8.7862
Mg V Cd O
6 1 1 8
direct
0.0000 0.0000 0.0000
0.0000 0.0000 0.5000
0.0000 0.5000 0.2457
0.0000 0.5000 0.7543
0.5000 0.0000 0.2457
0.5000 0.0000 0.7543
0.5000 0.5000 0.0000
0.5000 0.5000 0.5000
0.0000 0.0000 0.2497
0.0000 0.0000 0.7503
0.0000 0.5000 0.0000
0.0000 0.5000 0.5000
0.5000 0.0000 0.0000
0.5000 0.0000 0.5000
0.5000 0.5000 0.2399
0.5000 0.5000 0.7601
```

Peak list (10 most intense, 10 to 90 degrees two-theta, by angle)
Position (°2θ)	intensity	index
10.1	233	0 0 1
20.2	212	0 0 2
20.3	416	1 0 0
28.8	528	1 0 2
35.5	540	1 1 2
41.1	505	0 0 4
41.3	1000	2 0 0
59.7	584	2 0 4
59.9	291	2 2 0
75.2	269	2 2 4